Calculated powder diffractogram
Compound: Li2Ga2Pd7
Radiation: Cu Kα, 1.54184 Å
Structure: a cell relaxed with PBE

Cell and atoms:
```
11
Lattice="-1.8373 4.1581 5.5491 1.8373 -4.1581 5.5491 1.8373 4.1581 -5.5491" Properties=species:S:1:pos:R:3 pbc="T T T"
Li 0.0000 0.0000 2.0147
Li 0.0000 0.0000 9.0835
Ga 0.0000 2.1010 0.0000
Ga 0.0000 6.2152 0.0000
Pd 1.8373 0.0000 0.0000
Pd 1.8373 2.0414 -1.7632
Pd 1.8373 0.0000 3.9759
Pd 1.8373 2.0414 1.7632
Pd 0.0000 2.1167 3.7859
Pd 0.0000 4.1581 1.5733
Pd 0.0000 2.1167 7.3123
```

Largest 10 diffraction maxima, low angle first, 10° ≤ 2θ ≤ 90°:
| 2θ/deg | I_rel |
| --- | --- |
| 21.37 | 99 |
| 26.37 | 153 |
| 26.52 | 213 |
| 40.85 | 1000 |
| 43.53 | 211 |
| 49.26 | 114 |
| 49.62 | 144 |
| 68.11 | 110 |
| 78.09 | 135 |
| 87.01 | 115 |